Entry 1:
The following is a simulated X-ray diffraction stick pattern of Ba2Mn5O10. It was derived from DFT lattice parameters and positions (PBE+U), using Cu Kα, 1.54184 Å.

Cell and atoms:
Unit cell a=6.769 b=6.769 c=9.983 alpha=92.48 beta=92.48 gamma=28.05
Fractional positions:
Ba 0.245 0.245 0.187
Ba 0.755 0.755 0.813
Mn 0.005 0.005 0.739
Mn 0.349 0.349 0.495
Mn 0.500 0.500 0.000
Mn 0.651 0.651 0.505
Mn 0.995 0.995 0.261
O 0.091 0.091 0.912
O 0.094 0.094 0.408
O 0.233 0.233 0.607
O 0.422 0.422 0.834
O 0.427 0.427 0.335
O 0.573 0.573 0.665
O 0.578 0.578 0.166
O 0.767 0.767 0.393
O 0.906 0.906 0.592
O 0.909 0.909 0.088

Top 10 peaks for 2θ = 10–80°, by intensity:
- 29.6 deg, I 100
- 35.1 deg, I 98
- 33.6 deg, I 80
- 38.3 deg, I 69
- 30.7 deg, I 59
- 27.2 deg, I 55
- 32.0 deg, I 51
- 29.4 deg, I 50
- 56.1 deg, I 49
- 39.2 deg, I 46



Entry 2:
The following is a simulated X-ray diffraction stick pattern of LiBiW2O8. It was derived from DFT lattice parameters and positions (PBE+U), using Cu Kα, 1.54184 Å.

Cell and atoms:
Unit cell a=5.153 b=5.997 c=11.207 alpha=90.00 beta=114.00 gamma=90.00
Fractional positions:
Li 0.000 0.223 0.250
Li 0.000 0.777 0.750
Bi 0.500 0.164 0.750
Bi 0.500 0.836 0.250
W 0.264 0.333 0.011
W 0.264 0.667 0.511
W 0.736 0.333 0.489
W 0.736 0.667 0.989
O 0.150 0.392 0.594
O 0.150 0.608 0.094
O 0.233 0.147 0.135
O 0.233 0.853 0.635
O 0.268 0.127 0.890
O 0.268 0.873 0.390
O 0.344 0.408 0.395
O 0.344 0.592 0.895
O 0.656 0.408 0.105
O 0.656 0.592 0.605
O 0.732 0.127 0.610
O 0.732 0.873 0.110
O 0.767 0.147 0.365
O 0.767 0.853 0.865
O 0.850 0.392 0.906
O 0.850 0.608 0.406

Top 10 peaks for 2θ = 10–80°, by intensity:
- 28.1 deg, I 100
- 29.4 deg, I 88
- 22.8 deg, I 79
- 34.6 deg, I 47
- 34.9 deg, I 30
- 48.9 deg, I 30
- 18.9 deg, I 29
- 17.1 deg, I 27
- 50.9 deg, I 27
- 48.7 deg, I 23